K3Re2PbO9: theoretical powder XRD pattern (Cu Kα (weighted mean of Kα1 and Kα2)), based on DFT lattice parameters and positions (GGA-PBE).
Kinematic intensities with the Lorentz-polarization factor, no thermal factor.

Cell and atoms:
```
K3Re2PbO9
1.0
5.8127 0.0000 0.0000
-2.9064 5.0340 0.0000
0.0000 0.0000 7.7198
K Re Pb O
3 2 1 9
Direct
0.0000 0.0000 0.0000
0.3333 0.6667 0.6988
0.6667 0.3333 0.3012
0.3333 0.6667 0.1519
0.6667 0.3333 0.8481
0.0000 0.0000 0.5000
0.0000 0.5000 0.0000
0.1804 0.3609 0.2820
0.1804 0.8196 0.2820
0.3609 0.1804 0.7180
0.5000 0.0000 0.0000
0.5000 0.5000 0.0000
0.6391 0.8196 0.2820
0.8196 0.1804 0.7180
0.8196 0.6391 0.7180
```

Largest 10 diffraction maxima, sorted by position, 5 to 70 degrees two-theta:
21.07 deg, d 4.217, I = 100
29.15 deg, d 3.063, I = 75
30.76 deg, d 2.906, I = 65
42.90 deg, d 2.108, I = 41
47.17 deg, d 1.927, I = 23
49.33 deg, d 1.847, I = 21
50.67 deg, d 1.802, I = 18
53.71 deg, d 1.707, I = 26
54.70 deg, d 1.678, I = 13
69.36 deg, d 1.355, I = 13

=====

Cs3Cd4Pd: theoretical powder XRD pattern (Cu Kα (weighted mean of Kα1 and Kα2)), based on DFT lattice parameters and positions (GGA-PBE).
Kinematic intensities with the Lorentz-polarization factor, no thermal factor.

Cell and atoms:
```
Cs3Cd4Pd
1.0
-3.3441 3.8443 5.8146
3.3441 -3.8443 5.8146
3.3441 3.8443 -5.8146
Cs Cd Pd
3 4 1
Direct
0.0000 0.0000 0.0000
0.1093 0.3525 0.7568
0.5956 0.3525 0.2432
0.3892 0.6934 0.6958
0.5965 0.3328 0.7363
0.5965 0.8602 0.2637
0.9975 0.6934 0.3042
0.3962 0.8962 0.5000
```

Largest 10 diffraction maxima, sorted by position, 5 to 70 degrees two-theta:
26.60 deg, d 3.351, I = 69
27.84 deg, d 3.205, I = 100
30.14 deg, d 2.965, I = 33
30.83 deg, d 2.901, I = 28
35.54 deg, d 2.526, I = 39
38.90 deg, d 2.315, I = 15
40.52 deg, d 2.226, I = 16
47.71 deg, d 1.906, I = 17
54.74 deg, d 1.677, I = 13
57.52 deg, d 1.602, I = 13